This entry pairs a crystal structure of Ca3Mg with its simulated PXRD pattern. Radiation: a wavelength of 1.5418 Å. Structure: a crystal structure in the Materials Project, relaxed with GGA-PBE.

The 10 most intense peaks (5° ≤ 2θ ≤ 70°), low angle first:
27.41 deg, d = 3.254 Å, I 24, hkl 1 0 1; 27.81 deg, d = 3.208 Å, I 13, hkl 0 0 2; 29.57 deg, d = 3.020 Å, I 38, hkl 0 2 0; 31.22 deg, d = 2.865 Å, I 100, hkl 1 1 1; 31.57 deg, d = 2.834 Å, I 48, hkl 0 1 2; 40.76 deg, d = 2.214 Å, I 15, hkl 1 2 1; 48.94 deg, d = 1.861 Å, I 17, hkl 1 0 3; 53.51 deg, d = 1.712 Å, I 19, hkl 1 3 1; 58.22 deg, d = 1.585 Å, I 19, hkl 1 2 3; 58.77 deg, d = 1.571 Å, I 14, hkl 2 1 2

Crystal structure
a b c (Å): 3.7759 6.0410 6.4177
angles (deg): 90.00 90.00 90.00
Positions (direct):
1 Ca 0.0000 0.0000 0.0000
2 Ca 0.0000 0.5000 0.3410
3 Ca 0.5000 0.0000 0.5116
4 Mg 0.5000 0.5000 0.8398